Na2HoTa5O15: calculated powder diffractogram (Cu Kα), based on DFT lattice parameters and positions (GGA-PBE).
Neutral-atom scattering factors, no anomalous dispersion.

Structural model:
a = 12.585 Å, b = 12.585 Å, c = 3.922 Å
α = 90.00°, β = 90.00°, γ = 90.00°
Space group P4/mbm (No. 127)
Inequivalent atoms, fractional coordinates:
Na: 0.172 0.328 0.000 (multiplicity 4)
Ho: 0.000 0.000 0.000 (multiplicity 2)
Ta: 0.000 0.500 0.500 (multiplicity 2)
Ta: 0.079 0.789 0.500 (multiplicity 8)
O: 0.000 0.500 0.000 (multiplicity 2)
O: 0.002 0.341 0.500 (multiplicity 8)
O: 0.057 0.130 0.500 (multiplicity 8)
O: 0.080 0.813 0.000 (multiplicity 8)
O: 0.224 0.724 0.500 (multiplicity 4)

Main lines, in order of rising 2θ (2θ = 10–80°):
14.1 deg, rel. 32, hkl 2 0 0
15.7 deg, rel. 39, hkl 2 1 0
22.7 deg, rel. 66, hkl 0 0 1
25.5 deg, rel. 58, hkl 3 2 0
27.7 deg, rel. 30, hkl 2 1 1
29.3 deg, rel. 58, hkl 4 1 0
31.8 deg, rel. 53, hkl 4 2 0
32.0 deg, rel. 100, hkl 3 1 1
34.4 deg, rel. 39, hkl 3 2 1
45.6 deg, rel. 34, hkl 6 2 0
46.3 deg, rel. 30, hkl 0 0 2
56.8 deg, rel. 64, hkl 5 5 1


NaHoTi2O6: calculated powder diffractogram (Cu Kα), based on DFT lattice parameters and positions (GGA-PBE).
Neutral-atom scattering factors, no anomalous dispersion.

Structural model:
a = 7.622 Å, b = 5.543 Å, c = 5.318 Å
α = 90.00°, β = 90.00°, γ = 90.00°
Space group Pmn2_1 (No. 31)
Inequivalent atoms, fractional coordinates:
Na: 0.000 0.216 0.000 (multiplicity 2)
Ho: 0.000 0.677 0.523 (multiplicity 2)
Ti: 0.247 0.234 0.518 (multiplicity 4)
O: 0.000 0.274 0.426 (multiplicity 2)
O: 0.000 0.777 0.110 (multiplicity 2)
O: 0.196 0.943 0.694 (multiplicity 4)
O: 0.209 0.464 0.782 (multiplicity 4)

Main lines, in order of rising 2θ (2θ = 10–80°):
19.8 deg, rel. 49, hkl 1 1 0
20.4 deg, rel. 65, hkl 1 0 1
26.0 deg, rel. 20, hkl 1 1 1
32.3 deg, rel. 18, hkl 0 2 0
33.1 deg, rel. 100, hkl 2 1 1
33.7 deg, rel. 26, hkl 0 0 2
39.4 deg, rel. 30, hkl 3 0 1
47.4 deg, rel. 23, hkl 0 2 2
47.7 deg, rel. 18, hkl 4 0 0
49.0 deg, rel. 13, hkl 1 2 2
53.9 deg, rel. 16, hkl 1 3 1
59.9 deg, rel. 24, hkl 2 1 3